Calculated powder X-ray diffraction pattern of Rb2AlInCl6 for Cu Kα X-rays, from a crystal structure in the Materials Project, relaxed with PBE.
Peak positions follow from Bragg's law for the DFT cell and can differ from measured ones.

Principal peaks in the range 2θ = 10–80°, by angle:
hkl 2 2 0, d = 3.805 Å, 23.38 deg, I = 100; hkl 3 1 1, d = 3.245 Å, 27.49 deg, I = 21; hkl 2 2 2, d = 3.107 Å, 28.74 deg, I = 33; hkl 4 0 0, d = 2.690 Å, 33.30 deg, I = 82; hkl 3 3 1, d = 2.469 Å, 36.39 deg, I = 23; hkl 4 2 2, d = 2.197 Å, 41.09 deg, I = 39; hkl 4 4 0, d = 1.902 Å, 47.81 deg, I = 50; hkl 6 2 0, d = 1.702 Å, 53.88 deg, I = 27; hkl 6 4 2, d = 1.438 Å, 64.83 deg, I = 27; hkl 8 4 0, d = 1.203 Å, 79.69 deg, I = 18

Atomic structure:
Unit cell a=10.762 b=10.762 c=10.762 alpha=90.00 beta=90.00 gamma=90.00
Space group Fm-3m (No. 225)
Asymmetric unit:
Rb (0.250, 0.250, 0.250) [8 per cell]
Al (0.000, 0.000, 0.000) [4 per cell]
In (0.000, 0.000, 0.500) [4 per cell]
Cl (0.000, 0.000, 0.219) [24 per cell]

=====

Calculated powder X-ray diffraction pattern of EuCu3Pd2 for Cu Kα X-rays, from a crystal structure in the Materials Project, relaxed with PBE.
Peak positions follow from Bragg's law for the DFT cell and can differ from measured ones.

Principal peaks in the range 2θ = 10–80°, by angle:
hkl 0 0 1, d = 4.303 Å, 20.64 deg, I = 13; hkl 1 0 1, d = 3.113 Å, 28.67 deg, I = 17; hkl 1 1 0, d = 2.604 Å, 34.44 deg, I = 37; hkl 2 0 0, d = 2.255 Å, 39.98 deg, I = 17; hkl 1 1 1, d = 2.228 Å, 40.49 deg, I = 100; hkl 0 0 2, d = 2.152 Å, 41.99 deg, I = 26; hkl 1 1 2, d = 1.659 Å, 55.39 deg, I = 19; hkl 3 0 1, d = 1.419 Å, 65.80 deg, I = 23; hkl 2 2 0, d = 1.302 Å, 72.61 deg, I = 15; hkl 1 1 3, d = 1.256 Å, 75.70 deg, I = 15

Atomic structure:
Unit cell a=5.2081 b=5.2081 c=4.3032 alpha=90.00 beta=90.00 gamma=120.00
Space group P6/mmm (No. 191)
Asymmetric unit:
Eu (0.0000, 0.0000, 0.0000) [1 per cell]
Cu (0.0000, 0.5000, 0.5000) [3 per cell]
Pd (0.3333, 0.6667, 0.0000) [2 per cell]

=====

Calculated powder X-ray diffraction pattern of Mg4Al2H12CO18 for Cu Kα X-rays, from a crystal structure in the Materials Project, relaxed with PBE.
Peak positions follow from Bragg's law for the DFT cell and can differ from measured ones.

Principal peaks in the range 2θ = 10–80°, by angle:
hkl 0 0 2, d = 7.527 Å, 11.76 deg, I = 100; hkl 0 0 4, d = 3.763 Å, 23.64 deg, I = 31; hkl 1 1 1, d = 2.622 Å, 34.20 deg, I = 27; hkl 1 1 2, d = 2.510 Å, 35.77 deg, I = 18; hkl 1 1 3, d = 2.352 Å, 38.27 deg, I = 11; hkl 1 1 4, d = 2.174 Å, 41.55 deg, I = 16; hkl 1 1 5, d = 1.995 Å, 45.48 deg, I = 19; hkl 1 1 6, d = 1.826 Å, 49.95 deg, I = 25; hkl 3 0 0, d = 1.537 Å, 60.21 deg, I = 24; hkl 3 0 2, d = 1.506 Å, 61.57 deg, I = 11

Atomic structure:
Unit cell a=5.3254 b=5.3254 c=15.0533 alpha=90.00 beta=90.00 gamma=120.00
Space group P-62m (No. 189)
Asymmetric unit:
Mg (0.3333, 0.6667, 0.2443) [4 per cell]
Al (0.0000, 0.0000, 0.2444) [2 per cell]
H (0.0000, 0.3081, 0.3762) [6 per cell]
H (0.0000, 0.6838, 0.1129) [6 per cell]
C (0.0000, 0.0000, 0.5000) [1 per cell]
O (0.0000, 0.2408, 0.5000) [3 per cell]
O (0.0000, 0.3097, 0.3111) [6 per cell]
O (0.0000, 0.5858, 0.0000) [3 per cell]
O (0.0000, 0.6893, 0.1785) [6 per cell]

=====

Calculated powder X-ray diffraction pattern of MgSnAs2O7 for Cu Kα X-rays, from a crystal structure in the Materials Project, relaxed with PBE.
Peak positions follow from Bragg's law for the DFT cell and can differ from measured ones.

Principal peaks in the range 2θ = 10–80°, by angle:
hkl 0 1 1, d = 6.399 Å, 13.84 deg, I = 14; hkl 1 1 1, d = 3.986 Å, 22.30 deg, I = 10; hkl 2 1 -1, d = 3.506 Å, 25.40 deg, I = 8; hkl 1 2 -2, d = 3.377 Å, 26.39 deg, I = 100; hkl 1 0 2, d = 3.066 Å, 29.13 deg, I = 33; hkl 2 2 0, d = 2.719 Å, 32.94 deg, I = 28; hkl 0 3 2, d = 2.541 Å, 35.33 deg, I = 10; hkl 0 2 4, d = 1.988 Å, 45.62 deg, I = 11; hkl 1 4 2, d = 1.856 Å, 49.09 deg, I = 9; hkl 3 3 -4, d = 1.776 Å, 51.46 deg, I = 13

Atomic structure:
Unit cell a=7.612 b=9.329 c=9.999 alpha=90.00 beta=118.43 gamma=90.00
Space group P2_1/c (No. 14)
Asymmetric unit:
Mg (0.232, 0.062, 0.099) [4 per cell]
Sn (0.269, 0.040, 0.629) [4 per cell]
As (0.070, 0.720, 0.749) [4 per cell]
As (0.495, 0.245, 0.441) [4 per cell]
O (0.040, 0.595, 0.612) [4 per cell]
O (0.120, 0.222, 0.706) [4 per cell]
O (0.135, 0.613, 0.225) [4 per cell]
O (0.276, 0.660, 0.923) [4 per cell]
O (0.364, 0.225, 0.036) [4 per cell]
O (0.436, 0.101, 0.321) [4 per cell]
O (0.460, 0.601, 0.633) [4 per cell]

=====

Calculated powder X-ray diffraction pattern of K3Tb for Cu Kα X-rays, from a crystal structure in the Materials Project, relaxed with PBE.
Peak positions follow from Bragg's law for the DFT cell and can differ from measured ones.

Principal peaks in the range 2θ = 10–80°, by angle:
hkl 0 0 2, d = 6.672 Å, 13.27 deg, I = 18; hkl 1 0 1, d = 5.328 Å, 16.64 deg, I = 44; hkl 1 0 3, d = 3.532 Å, 25.22 deg, I = 17; hkl 1 1 2, d = 3.499 Å, 25.46 deg, I = 100; hkl 0 0 4, d = 3.336 Å, 26.72 deg, I = 22; hkl 2 0 0, d = 2.905 Å, 30.77 deg, I = 30; hkl 2 1 1, d = 2.551 Å, 35.18 deg, I = 15; hkl 2 0 4, d = 2.191 Å, 41.20 deg, I = 26; hkl 1 1 6, d = 1.956 Å, 46.43 deg, I = 18; hkl 3 1 2, d = 1.772 Å, 51.59 deg, I = 26

Atomic structure:
Unit cell a=5.811 b=5.811 c=13.344 alpha=90.00 beta=90.00 gamma=90.00
Space group I4/mmm (No. 139)
Asymmetric unit:
K (0.000, 0.000, 0.000) [2 per cell]
K (0.000, 0.500, 0.250) [4 per cell]
Tb (0.000, 0.000, 0.500) [2 per cell]

=====

Calculated powder X-ray diffraction pattern of CaNb2Te4Cl10O for Cu Kα X-rays, from a crystal structure in the Materials Project, relaxed with PBE.
Peak positions follow from Bragg's law for the DFT cell and can differ from measured ones.

Principal peaks in the range 2θ = 10–80°, by angle:
hkl 0 1 -1, d = 6.588 Å, 13.44 deg, I = 25; hkl 1 -1 0, d = 6.494 Å, 13.64 deg, I = 38; hkl 0 1 1, d = 6.125 Å, 14.46 deg, I = 33; hkl 1 0 -1, d = 5.820 Å, 15.22 deg, I = 100; hkl 0 1 -2, d = 4.401 Å, 20.18 deg, I = 33; hkl 1 0 -2, d = 4.236 Å, 20.97 deg, I = 48; hkl 1 -1 2, d = 3.808 Å, 23.36 deg, I = 38; hkl 1 1 -2, d = 3.505 Å, 25.41 deg, I = 27; hkl -1 2 2, d = 3.288 Å, 27.12 deg, I = 39; hkl 1 -3 3, d = 2.239 Å, 40.29 deg, I = 41

Atomic structure:
Unit cell a=7.125 b=8.960 c=10.030 alpha=91.33 beta=96.64 gamma=112.69
Space group P1 (No. 1)
Asymmetric unit:
Ca (0.000, 0.000, 0.000) [1 per cell]
Nb (0.352, 0.751, 0.701) [1 per cell]
Nb (0.400, 0.477, 0.976) [1 per cell]
Te (0.099, 0.207, 0.501) [1 per cell]
Te (0.650, 0.011, 0.205) [1 per cell]
Te (0.813, 0.302, 0.360) [1 per cell]
Te (0.946, 0.916, 0.348) [1 per cell]
Cl (0.052, 0.295, 0.891) [1 per cell]
Cl (0.263, 0.909, 0.877) [1 per cell]
Cl (0.299, 0.594, 0.153) [1 per cell]
Cl (0.347, 0.962, 0.549) [1 per cell]
Cl (0.368, 0.243, 0.138) [1 per cell]
Cl (0.459, 0.616, 0.545) [1 per cell]
Cl (0.564, 0.356, 0.849) [1 per cell]
Cl (0.717, 0.934, 0.772) [1 per cell]
Cl (0.768, 0.679, 0.072) [1 per cell]
Cl (0.999, 0.598, 0.628) [1 per cell]
O (0.376, 0.618, 0.845) [1 per cell]

=====

Calculated powder X-ray diffraction pattern of HfSe2Cl12 for Cu Kα X-rays, from a crystal structure in the Materials Project, relaxed with PBE.
Peak positions follow from Bragg's law for the DFT cell and can differ from measured ones.

Principal peaks in the range 2θ = 10–80°, by angle:
hkl 1 1 1, d = 8.351 Å, 10.59 deg, I = 58; hkl 1 1 3, d = 5.772 Å, 15.35 deg, I = 45; hkl 0 0 4, d = 5.666 Å, 15.64 deg, I = 55; hkl 2 0 2, d = 5.409 Å, 16.39 deg, I = 100; hkl 1 3 1, d = 4.059 Å, 21.90 deg, I = 36; hkl 2 2 4, d = 3.516 Å, 25.33 deg, I = 43; hkl 2 4 0, d = 2.898 Å, 30.86 deg, I = 23; hkl 2 2 6, d = 2.886 Å, 30.98 deg, I = 46; hkl 4 4 0, d = 2.247 Å, 40.13 deg, I = 24; hkl 4 2 6, d = 2.241 Å, 40.24 deg, I = 44

Atomic structure:
Unit cell a=12.324 b=13.135 c=22.593 alpha=90.00 beta=90.00 gamma=90.00
Space group Fdd2 (No. 43)
Asymmetric unit:
Hf (0.000, 0.000, 0.000) [8 per cell]
Se (0.006, 0.274, 0.918) [16 per cell]
Cl (0.107, 0.328, 0.992) [16 per cell]
Cl (0.110, 0.337, 0.847) [16 per cell]
Cl (0.111, 0.083, 0.921) [16 per cell]
Cl (0.113, 0.344, 0.497) [16 per cell]
Cl (0.115, 0.103, 0.422) [16 per cell]
Cl (0.122, 0.071, 0.074) [16 per cell]

=====

Calculated powder X-ray diffraction pattern of KBiO3 for Cu Kα X-rays, from a crystal structure in the Materials Project, relaxed with PBE.
Peak positions follow from Bragg's law for the DFT cell and can differ from measured ones.

Principal peaks in the range 2θ = 10–80°, by angle:
hkl 1 1 0, d = 7.223 Å, 12.25 deg, I = 88; hkl 2 0 0, d = 5.108 Å, 17.36 deg, I = 34; hkl 3 1 0, d = 3.230 Å, 27.61 deg, I = 100; hkl 3 2 1, d = 2.730 Å, 32.80 deg, I = 80; hkl 4 2 2, d = 2.085 Å, 43.40 deg, I = 15; hkl 4 1 3, d = 2.003 Å, 45.26 deg, I = 55; hkl 6 0 0, d = 1.703 Å, 53.85 deg, I = 34; hkl 5 3 2, d = 1.657 Å, 55.45 deg, I = 18; hkl 6 3 1, d = 1.506 Å, 61.57 deg, I = 20; hkl 5 3 4, d = 1.445 Å, 64.50 deg, I = 17

Atomic structure:
Unit cell a=10.215 b=10.215 c=10.215 alpha=90.00 beta=90.00 gamma=90.00
Space group Pn-3 (No. 201, origin choice 2)
Asymmetric unit:
K (0.000, 0.000, 0.000) [4 per cell]
K (0.094, 0.094, 0.406) [8 per cell]
Bi (0.091, 0.250, 0.750) [12 per cell]
O (0.037, 0.747, 0.084) [24 per cell]
O (0.109, 0.750, 0.750) [12 per cell]